# 1
For Ac8Co4Pt, a crystal structure in Alexandria, relaxed with PBE gives the theoretical PXRD pattern in this record (Cu Kα (weighted mean of Kα1 and Kα2)).
Neutral-atom scattering factors, no anomalous dispersion.

Most intense lines, 10° ≤ 2θ ≤ 80°, sorted by position:
d = 3.403 Å, 26.19 deg, I = 29
d = 3.255 Å, 27.40 deg, I = 62
d = 3.166 Å, 28.19 deg, I = 100
d = 2.764 Å, 32.39 deg, I = 26
d = 2.141 Å, 42.20 deg, I = 27
d = 2.029 Å, 44.66 deg, I = 38

Structure:
```
Ac8Co4Pt
1.0
10.2300 -2.1412 0.0000
10.2300 2.1412 0.0000
-9.5664 0.0000 10.3609
Ac Co Pt
8 4 1
direct
0.0000 0.0000 0.0000
0.0067 0.0067 0.7286
0.2994 0.2994 0.9315
0.3124 0.3124 0.6608
0.3544 0.3544 0.3963
0.6154 0.6154 0.6125
0.6963 0.6963 0.0529
0.9524 0.9524 0.2707
0.3186 0.3186 0.1498
0.5136 0.5136 0.8780
0.8031 0.8031 0.8041
0.9965 0.9965 0.5123
0.8079 0.8079 0.4997
```



# 2
For Ac8Co3Pt2, a crystal structure in Alexandria, relaxed with PBE gives the theoretical PXRD pattern in this record (Cu Kα (weighted mean of Kα1 and Kα2)).
Neutral-atom scattering factors, no anomalous dispersion.

Most intense lines, 10° ≤ 2θ ≤ 80°, sorted by position:
d = 3.551 Å, 25.08 deg, I = 80
d = 3.017 Å, 29.61 deg, I = 68
d = 2.797 Å, 32.00 deg, I = 100
d = 2.785 Å, 32.14 deg, I = 52
d = 2.377 Å, 37.85 deg, I = 57
d = 2.075 Å, 43.61 deg, I = 59

Structure:
```
Ac8Co3Pt2
1.0
7.7759 -4.1597 0.0000
7.7759 4.1597 0.0000
-2.2405 0.0000 6.8264
Ac Co Pt
8 3 2
direct
0.1080 0.1080 0.4081
0.1451 0.6232 0.0955
0.3768 0.8549 0.9045
0.3902 0.3902 0.5864
0.6098 0.6098 0.4136
0.6232 0.1451 0.0955
0.8549 0.3768 0.9045
0.8920 0.8920 0.5919
0.2434 0.7566 0.5000
0.5000 0.5000 0.0000
0.7566 0.2434 0.5000
0.2428 0.2428 0.1666
0.7572 0.7572 0.8334
```



# 3
For Ac8Co3Rh, a crystal structure in Alexandria, relaxed with PBE gives the theoretical PXRD pattern in this record (Cu Kα (weighted mean of Kα1 and Kα2)).
Neutral-atom scattering factors, no anomalous dispersion.

Most intense lines, 10° ≤ 2θ ≤ 80°, sorted by position:
d = 3.478 Å, 25.61 deg, I = 100
d = 3.319 Å, 26.87 deg, I = 28
d = 2.985 Å, 29.94 deg, I = 44
d = 2.971 Å, 30.08 deg, I = 87
d = 2.143 Å, 42.17 deg, I = 54
d = 2.070 Å, 43.74 deg, I = 30

Structure:
```
Ac8Co3Rh
1.0
7.0967 -4.2837 0.0000
7.0967 4.2837 0.0000
-4.4670 0.0000 6.9473
Ac Co Rh
8 3 1
direct
0.2360 0.7479 0.7514
0.2436 0.2436 0.2560
0.2524 0.2524 0.7373
0.2521 0.7640 0.2486
0.7479 0.2360 0.7514
0.7476 0.7476 0.2627
0.7564 0.7564 0.7440
0.7640 0.2521 0.2486
0.0000 0.0000 0.0000
0.0000 0.5000 0.5000
0.5000 0.0000 0.5000
0.5000 0.5000 0.0000
```



# 4
For Ac16Co5Rh3, a crystal structure in Alexandria, relaxed with PBE gives the theoretical PXRD pattern in this record (Cu Kα (weighted mean of Kα1 and Kα2)).
Neutral-atom scattering factors, no anomalous dispersion.

Most intense lines, 10° ≤ 2θ ≤ 80°, sorted by position:
d = 3.549 Å, 25.09 deg, I = 24
d = 3.437 Å, 25.92 deg, I = 23
d = 3.240 Å, 27.53 deg, I = 100
d = 2.867 Å, 31.20 deg, I = 37
d = 2.121 Å, 42.62 deg, I = 38
d = 1.944 Å, 46.72 deg, I = 22

Structure:
```
Ac16Co5Rh3
1.0
7.3543 -4.2387 0.0000
7.3543 4.2387 0.0000
-0.0096 0.0000 13.7484
Ac Co Rh
16 5 3
direct
0.0000 0.0000 0.0000
0.0009 0.0009 0.4977
0.0282 0.4983 0.9856
0.1667 0.6720 0.7317
0.1730 0.1730 0.7361
0.3376 0.8324 0.2319
0.3419 0.3419 0.2242
0.4928 0.4928 0.9866
0.4983 0.0282 0.9856
0.5167 0.5167 0.4825
0.5214 0.9825 0.4833
0.6720 0.1667 0.7317
0.6771 0.6771 0.7270
0.8324 0.3376 0.2319
0.8391 0.8391 0.2288
0.9825 0.5214 0.4833
0.1715 0.6712 0.1112
0.3386 0.3386 0.8500
0.6712 0.1715 0.1112
0.6716 0.6716 0.3482
0.8387 0.8387 0.6100
0.1701 0.1701 0.1129
0.3377 0.8402 0.6128
0.8402 0.3377 0.6128
```



# 5
For Ac4Co2Ru, a crystal structure in Alexandria, relaxed with PBE gives the theoretical PXRD pattern in this record (Cu Kα (weighted mean of Kα1 and Kα2)).
Neutral-atom scattering factors, no anomalous dispersion.

Most intense lines, 10° ≤ 2θ ≤ 80°, sorted by position:
d = 3.640 Å, 24.46 deg, I = 100
d = 3.400 Å, 26.21 deg, I = 51
d = 2.858 Å, 31.30 deg, I = 54
d = 2.722 Å, 32.90 deg, I = 75
d = 2.448 Å, 36.71 deg, I = 55
d = 2.017 Å, 44.94 deg, I = 46

Structure:
```
Ac4Co2Ru
1.0
6.8898 0.0000 0.0000
0.0000 4.3141 0.0000
-1.4605 0.0000 7.2892
Ac Co Ru
4 2 1
direct
0.0935 0.0000 0.2581
0.3913 0.5000 0.7499
0.6087 0.5000 0.2501
0.9065 0.0000 0.7419
0.3431 0.0000 0.0144
0.6569 0.0000 0.9856
0.0000 0.5000 0.5000
```



# 6
For Ac12Co5Ru, a crystal structure in Alexandria, relaxed with PBE gives the theoretical PXRD pattern in this record (Cu Kα (weighted mean of Kα1 and Kα2)).
Neutral-atom scattering factors, no anomalous dispersion.

Most intense lines, 10° ≤ 2θ ≤ 80°, sorted by position:
d = 3.368 Å, 26.46 deg, I = 32
d = 3.352 Å, 26.59 deg, I = 100
d = 3.106 Å, 28.74 deg, I = 84
d = 2.723 Å, 32.90 deg, I = 25
d = 2.127 Å, 42.50 deg, I = 57
d = 1.799 Å, 50.76 deg, I = 34

Structure:
```
Ac12Co5Ru
1.0
3.6828 -6.3831 0.0000
3.6828 6.3831 0.0000
-2.4190 0.0000 13.4731
Ac Co Ru
12 5 1
direct
0.0364 0.3698 0.1130
0.1250 0.1250 0.3846
0.2011 0.5379 0.6155
0.2967 0.2967 0.8872
0.3698 0.0364 0.1130
0.4621 0.7989 0.3845
0.5379 0.2011 0.6155
0.6302 0.9636 0.8870
0.7033 0.7033 0.1128
0.7989 0.4621 0.3845
0.8750 0.8750 0.6154
0.9636 0.6302 0.8870
0.0000 0.0000 0.0000
0.1668 0.8332 0.5000
0.3334 0.6666 0.0000
0.6666 0.3334 0.0000
0.8332 0.1668 0.5000
0.5000 0.5000 0.5000
```



# 7
For Ac8Co3S, a crystal structure in Alexandria, relaxed with PBE gives the theoretical PXRD pattern in this record (Cu Kα (weighted mean of Kα1 and Kα2)).
Neutral-atom scattering factors, no anomalous dispersion.

Most intense lines, 10° ≤ 2θ ≤ 80°, sorted by position:
d = 3.491 Å, 25.52 deg, I = 88
d = 3.387 Å, 26.31 deg, I = 27
d = 3.000 Å, 29.78 deg, I = 100
d = 2.146 Å, 42.10 deg, I = 39
d = 2.097 Å, 43.13 deg, I = 35
d = 1.813 Å, 50.33 deg, I = 27

Structure:
```
Ac8Co3S
1.0
4.2925 2.4783 6.7738
-4.2925 2.4783 6.7738
0.0000 -4.9565 6.7738
Ac Co S
8 3 1
direct
0.2293 0.7540 0.7540
0.2425 0.2425 0.2425
0.2460 0.2460 0.7707
0.2460 0.7707 0.2460
0.7540 0.2293 0.7540
0.7540 0.7540 0.2293
0.7575 0.7575 0.7575
0.7707 0.2460 0.2460
0.0000 0.0000 0.5000
0.0000 0.5000 0.0000
0.5000 0.0000 0.0000
0.5000 0.5000 0.5000
```



# 8
For Ac2CoSi5, a crystal structure in Alexandria, relaxed with PBE gives the theoretical PXRD pattern in this record (Cu Kα (weighted mean of Kα1 and Kα2)).
Neutral-atom scattering factors, no anomalous dispersion.

Most intense lines, 10° ≤ 2θ ≤ 80°, sorted by position:
d = 4.199 Å, 21.16 deg, I = 53
d = 3.159 Å, 28.25 deg, I = 100
d = 2.969 Å, 30.10 deg, I = 35
d = 2.525 Å, 35.56 deg, I = 68
d = 2.083 Å, 43.45 deg, I = 30
d = 1.749 Å, 52.32 deg, I = 35

Structure:
```
Ac2CoSi5
1.0
-2.9691 2.9691 4.7968
2.9691 -2.9691 4.7968
2.9691 2.9691 -4.7968
Ac Co Si
2 1 5
direct
0.0000 0.5000 0.5000
0.5000 0.0000 0.5000
0.1831 0.1831 0.0000
0.5275 0.5275 0.5659
0.5275 0.9616 0.0000
0.9310 0.9310 0.0000
0.9616 0.5275 0.0000
0.9616 0.9616 0.4341
```



# 9
For AcSm3Co, a crystal structure in Alexandria, relaxed with PBE gives the theoretical PXRD pattern in this record (Cu Kα (weighted mean of Kα1 and Kα2)).
Neutral-atom scattering factors, no anomalous dispersion.

Most intense lines, 10° ≤ 2θ ≤ 80°, sorted by position:
d = 3.051 Å, 29.27 deg, I = 20
d = 2.941 Å, 30.39 deg, I = 100
d = 2.258 Å, 39.93 deg, I = 23
d = 1.938 Å, 46.87 deg, I = 24
d = 1.740 Å, 52.61 deg, I = 22
d = 1.636 Å, 56.23 deg, I = 20

Structure:
```
AcSm3Co
1.0
7.7533 0.0000 0.0000
-3.8767 6.7146 0.0000
0.0000 0.0000 6.1019
Ac Sm Co
2 6 2
direct
0.3333 0.6667 0.2500
0.6667 0.3333 0.7500
0.1690 0.3380 0.7500
0.1690 0.8310 0.7500
0.3380 0.1690 0.2500
0.6620 0.8310 0.7500
0.8310 0.1690 0.2500
0.8310 0.6620 0.2500
0.0000 0.0000 0.0000
0.0000 0.0000 0.5000
```



# 10
For AcSm12Co5, a crystal structure in Alexandria, relaxed with PBE gives the theoretical PXRD pattern in this record (Cu Kα (weighted mean of Kα1 and Kα2)).
Neutral-atom scattering factors, no anomalous dispersion.

Most intense lines, 10° ≤ 2θ ≤ 80°, sorted by position:
d = 3.141 Å, 28.42 deg, I = 38
d = 3.101 Å, 28.79 deg, I = 46
d = 2.874 Å, 31.11 deg, I = 100
d = 2.686 Å, 33.36 deg, I = 64
d = 2.666 Å, 33.62 deg, I = 60
d = 2.633 Å, 34.06 deg, I = 42

Structure:
```
AcSm12Co5
1.0
-4.8956 4.9522 5.0942
4.8956 -4.9522 5.0942
4.8956 4.9522 -5.0942
Ac Sm Co
1 12 5
direct
0.0000 0.0000 0.0000
0.1166 0.3081 0.8086
0.1884 0.5046 0.3161
0.1884 0.8723 0.6839
0.3193 0.2033 0.5226
0.3193 0.7967 0.1160
0.4995 0.3081 0.1914
0.5005 0.6919 0.8086
0.6807 0.2033 0.8840
0.6807 0.7967 0.4774
0.8116 0.1277 0.3161
0.8116 0.4954 0.6839
0.8834 0.6919 0.1914
0.1189 0.5000 0.6189
0.3890 0.8890 0.5000
0.5000 0.5000 0.0000
0.6110 0.1110 0.5000
0.8811 0.5000 0.3811
```



# 11
For Ac7Co2Sn3, a crystal structure in Alexandria, relaxed with PBE gives the theoretical PXRD pattern in this record (Cu Kα (weighted mean of Kα1 and Kα2)).
Neutral-atom scattering factors, no anomalous dispersion.

Most intense lines, 10° ≤ 2θ ≤ 80°, sorted by position:
d = 3.146 Å, 28.37 deg, I = 100
d = 2.790 Å, 32.08 deg, I = 22
d = 2.752 Å, 32.53 deg, I = 24
d = 2.637 Å, 33.99 deg, I = 21
d = 1.904 Å, 47.76 deg, I = 17
d = 1.573 Å, 58.70 deg, I = 17

Structure:
```
Ac7Co2Sn3
1.0
2.7522 -13.9507 0.0000
2.7522 13.9507 0.0000
0.0000 0.0000 5.2748
Ac Co Sn
7 2 3
direct
0.0000 0.0000 0.0000
0.0984 0.9016 0.5000
0.2067 0.7933 0.0000
0.3975 0.6025 0.0000
0.6025 0.3975 0.0000
0.7933 0.2067 0.0000
0.9016 0.0984 0.5000
0.1006 0.8994 0.0000
0.8994 0.1006 0.0000
0.3100 0.6900 0.5000
0.5000 0.5000 0.5000
0.6900 0.3100 0.5000
```



# 12
For Ac2CoSn6, a crystal structure in Alexandria, relaxed with PBE gives the theoretical PXRD pattern in this record (Cu Kα (weighted mean of Kα1 and Kα2)).
Neutral-atom scattering factors, no anomalous dispersion.

Most intense lines, 10° ≤ 2θ ≤ 80°, sorted by position:
d = 2.989 Å, 29.89 deg, I = 19
d = 2.923 Å, 30.59 deg, I = 20
d = 2.662 Å, 33.67 deg, I = 100
d = 2.090 Å, 43.29 deg, I = 17
d = 1.726 Å, 53.06 deg, I = 22
d = 1.486 Å, 62.50 deg, I = 16

Structure:
```
Ac2CoSn6
1.0
6.9038 0.0000 0.0000
-3.4519 5.9789 0.0000
0.0000 0.0000 5.8452
Ac Co Sn
2 1 6
direct
0.3333 0.6667 0.2025
0.6667 0.3333 0.7975
0.0000 0.0000 0.0000
0.1669 0.3337 0.7104
0.1669 0.8331 0.7104
0.3337 0.1669 0.2896
0.6663 0.8331 0.7104
0.8331 0.1669 0.2896
0.8331 0.6663 0.2896
```